For VZn2Cu8, a crystal structure in Alexandria, relaxed with GGA-PBE gives the simulated X-ray powder pattern in this record (copper Kα).

Top 12 peaks for 2θ from 15° to 90°, by angle:
d/Å, Position (°2θ), I_rel, index
3.025, 29.53, 10, 2 2 0
2.384, 37.73, 16, 2 2 1
2.119, 42.67, 100, 0 4 1
2.065, 43.84, 78, 3 1 1
2.017, 44.95, 37, 3 3 0
1.937, 46.92, 38, 0 0 2
1.577, 58.52, 15, 3 5 0
1.397, 66.99, 20, 3 3 2
1.223, 78.15, 12, 3 5 2
1.193, 80.52, 12, 3 7 1
1.150, 84.18, 12, 0 4 3
1.141, 84.99, 10, 3 1 3

Structural model:
Unit cell a=7.5454 b=10.1255 c=3.8732 alpha=90.00 beta=90.00 gamma=90.00
Space group Cmmm (No. 65)
Unique sites:
V 0.0000 0.0000 0.0000
Zn 0.0000 0.3781 0.5000
Cu 0.0000 0.2456 0.0000
Cu 0.1670 0.1312 0.5000
Cu 0.1668 0.5000 0.0000

For VZn4Cu, a crystal structure in Alexandria, relaxed with GGA-PBE gives the simulated X-ray powder pattern in this record (copper Kα).

Top 12 peaks for 2θ from 15° to 90°, by angle:
d/Å, Position (°2θ), I_rel, index
2.488, 36.10, 20, 1 1 0
2.238, 40.29, 100, 1 1 -2
2.231, 40.43, 91, 2 0 2
2.179, 41.43, 65, 4 0 -2
2.136, 42.32, 66, 2 0 -4
1.942, 46.79, 37, 3 1 -1
1.921, 47.33, 28, 1 1 -3
1.839, 49.57, 51, 3 1 0
1.407, 66.47, 22, 1 1 4
1.289, 73.48, 18, 5 1 -5
1.132, 85.82, 18, 2 2 2
1.126, 86.44, 27, 4 2 -2

Structural model:
Unit cell a=8.7291 b=2.6283 c=8.5451 alpha=90.00 beta=117.79 gamma=90.00
Space group C2/m (No. 12)
Unique sites:
V 0.0000 0.0000 0.0000
Zn 0.1536 0.0000 0.3477
Zn 0.1906 0.0000 0.8248
Cu 0.0000 0.5000 0.5000

What is the formula in the second record?
VZn4Cu